# Ce2Nd5Ge4
Simulated PXRD pattern, Cu Kα, 1.54184 Å. Input: a structure optimized by DFT (PBE).

Largest 10 diffraction maxima, by angle, 10 to 80 degrees two-theta:
2θ (°)  intensity
25.0  42
26.1  38
29.7  89
30.3  100
32.7  74
32.8  52
35.7  91
37.1  54
42.2  39
50.7  33

Structure:
Cell: 13.0813 13.0813 7.0883 Å, 90.02 90.02 15.83°
Positions (direct):
Ce: 0.0927 0.0927 0.1918
Ce: 0.9073 0.9073 0.8082
Nd: 0.1321 0.1321 0.6839
Nd: 0.2321 0.2321 0.2522
Nd: 0.5000 0.5000 0.5000
Nd: 0.7679 0.7679 0.7478
Nd: 0.8679 0.8679 0.3161
Ge: 0.0243 0.0243 0.8459
Ge: 0.3278 0.3278 0.0083
Ge: 0.6722 0.6722 0.9917
Ge: 0.9757 0.9757 0.1541